# CrRu2Au
Calculated powder diffractogram, CuKα. Input: a structure optimized by DFT (PBE).

Crystal structure
```
8
Lattice="3.847 0.000 0.000 0.000 3.847 0.000 0.000 0.000 7.843" Properties=species:S:1:pos:R:3 pbc="T T T"
Cr 0.000 0.000 0.000
Cr 1.924 1.924 3.921
Ru 0.000 0.000 3.921
Ru 0.000 1.924 1.961
Ru 1.924 0.000 5.882
Ru 1.924 1.924 0.000
Au 0.000 1.924 5.882
Au 1.924 0.000 1.961
```

Largest 8 diffraction maxima, in order of rising 2θ, 2θ from 10° to 90°:
25.8°, d = 3.454 Å, rel. 17
40.4°, d = 2.235 Å, rel. 100
46.3°, d = 1.961 Å, rel. 17
47.3°, d = 1.924 Å, rel. 32
68.3°, d = 1.373 Å, rel. 21
81.7°, d = 1.178 Å, rel. 13
83.1°, d = 1.162 Å, rel. 24
87.2°, d = 1.118 Å, rel. 11